Starting from a structure optimized by DFT (GGA+U), the X-ray diffraction stick pattern of La2MnBiO6 was simulated for λ = 1.5418 Å (Cu Kα).

Crystal structure
abc: 5.488 5.488 5.379
angles: 90.00 90.00 90.00
Element x y z (fractional)
La: 0.000 0.500 0.000
La: 0.500 0.000 0.000
Mn: 0.000 0.000 0.612
Bi: 0.500 0.500 0.545
O: 0.000 0.000 0.216
O: 0.238 0.238 0.730
O: 0.238 0.762 0.730
O: 0.500 0.500 0.120
O: 0.762 0.238 0.730
O: 0.762 0.762 0.730

Most intense lines, 2θ from 5° to 70°, by intensity:
28.36°, rel. 100; 32.64°, rel. 35; 55.65°, rel. 31; 47.33°, rel. 28; 46.83°, rel. 20; 16.15°, rel. 14